LaTe3: theoretical powder X-ray diffraction pattern (Cu Kα (weighted mean of Kα1 and Kα2)), based on a DFT-relaxed cell (GGA-PBE, the Materials Project).

Cell and atoms:
Unit cell a=13.7717 b=13.7717 c=4.4297 alpha=90.00 beta=90.00 gamma=161.45
Element x y z (fractional)
La (0.1701, 0.8299, 0.7500)
La (0.8299, 0.1701, 0.2500)
Te (0.0743, 0.9257, 0.2500)
Te (0.2950, 0.7050, 0.7500)
Te (0.4250, 0.5750, 0.2500)
Te (0.5750, 0.4250, 0.7500)
Te (0.7050, 0.2950, 0.2500)
Te (0.9257, 0.0743, 0.7500)

Peak list (12 most intense, 10 to 90 degrees two-theta, sorted by position)
26.2°, I 44; 28.7°, I 16; 30.2°, I 100; 33.0°, I 51; 33.2°, I 13; 36.8°, I 23; 40.7°, I 51; 46.8°, I 19; 49.1°, I 31; 58.9°, I 20; 65.6°, I 23; 67.5°, I 13